No. 1
This entry pairs a crystal structure of Li6Ca2Hg with its theoretical X-ray diffraction stick pattern. Radiation: a wavelength of 1.5418 Å. Structure: a PBE-relaxed structure.

Cell lengths 6.137, 6.137, 6.504 Å; angles 90.00, 90.00, 120.00 degrees
Atoms (fractional coordinates):
Li1 0.170 0.341 0.166
Li2 0.170 0.830 0.166
Li3 0.341 0.170 0.834
Li4 0.659 0.830 0.166
Li5 0.830 0.170 0.834
Li6 0.830 0.659 0.834
Ca1 0.333 0.667 0.625
Ca2 0.667 0.333 0.375
Hg1 0.000 0.000 0.500

Main lines, most intense first (2θ from 10° to 80°):
32.26°, I 100.0; 21.59°, I 68.2; 13.61°, I 65.2; 16.68°, I 52.0; 29.10°, I 42.5; 53.62°, I 32.8; 45.16°, I 29.2; 36.53°, I 23.1; 40.42°, I 19.7; 63.09°, I 18.3

=====

No. 2
This entry pairs a crystal structure of Sc5AgHg with its theoretical X-ray diffraction stick pattern. Radiation: a wavelength of 1.5418 Å. Structure: a PBE-relaxed structure.

Cell lengths 5.907, 5.907, 9.557 Å; angles 95.90, 95.90, 93.10 degrees
Atoms (fractional coordinates):
Sc1 0.003 0.373 0.821
Sc2 0.162 0.838 0.750
Sc3 0.237 0.471 0.491
Sc4 0.373 0.003 0.321
Sc5 0.471 0.237 0.991
Sc6 0.529 0.763 0.009
Sc7 0.627 0.997 0.679
Sc8 0.763 0.529 0.509
Sc9 0.838 0.162 0.250
Sc10 0.997 0.627 0.179
Ag1 0.483 0.517 0.250
Ag2 0.517 0.483 0.750
Hg1 0.000 0.000 0.000
Hg2 0.000 0.000 0.500

Main lines, most intense first (2θ from 10° to 80°):
37.58°, I 100.0; 25.47°, I 55.2; 30.49°, I 53.1; 22.85°, I 41.1; 22.13°, I 38.5; 20.71°, I 34.0; 39.33°, I 28.0; 42.54°, I 25.5; 38.09°, I 24.1; 41.34°, I 19.2

=====

No. 3
This entry pairs a crystal structure of Zn3Ni2 with its theoretical X-ray diffraction stick pattern. Radiation: a wavelength of 1.5418 Å. Structure: a PBE-relaxed structure.

Cell lengths 4.084, 4.084, 4.943 Å; angles 114.08, 114.08, 60.13 degrees
Atoms (fractional coordinates):
Zn1 0.000 0.000 0.000
Zn2 0.207 0.207 0.619
Zn3 0.793 0.793 0.381
Ni1 0.399 0.399 0.199
Ni2 0.601 0.601 0.801

Main lines, most intense first (2θ from 10° to 80°):
44.33°, I 100.0; 43.05°, I 71.6; 42.89°, I 36.2; 63.34°, I 21.1; 77.78°, I 10.6; 63.73°, I 10.4; 78.06°, I 5.2; 37.38°, I 0.9

=====

No. 4
This entry pairs a crystal structure of Ca3Ac2Sm2 with its theoretical X-ray diffraction stick pattern. Radiation: a wavelength of 1.5418 Å. Structure: a PBE-relaxed structure.

Cell lengths 13.287, 13.287, 3.734 Å; angles 90.00, 90.00, 154.16 degrees
Atoms (fractional coordinates):
Ca1 0.000 0.000 0.000
Ca2 0.428 0.572 0.500
Ca3 0.572 0.428 0.500
Ac1 0.287 0.713 0.500
Ac2 0.713 0.287 0.500
Sm1 0.152 0.848 0.000
Sm2 0.848 0.152 0.000

Main lines, most intense first (2θ from 10° to 80°):
28.43°, I 100.0; 30.10°, I 75.8; 33.20°, I 22.1; 27.58°, I 19.8; 57.42°, I 19.3; 52.41°, I 18.8; 58.36°, I 18.5; 48.76°, I 14.8; 31.68°, I 14.6; 41.26°, I 14.2